Entry 1:
This entry pairs a crystal structure of Cs3Zn2Cl8 with its calculated PXRD pattern. Radiation: Cu Kα (weighted mean of Kα1 and Kα2). Structure: a crystal structure in Alexandria, relaxed with PBE.

Cell and atoms:
a = 7.2413 Å, b = 7.2413 Å, c = 29.5078 Å
α = 90.00°, β = 90.00°, γ = 120.00°
Space group R-3m (No. 166, hexagonal axes)
Symmetry-distinct sites (fractional):
Cs 0.0000 0.0000 0.0000 x3
Cs 0.0000 0.0000 0.2086 x6
Zn 0.0000 0.0000 0.4056 x6
Cl 0.0000 0.0000 0.3292 x6
Cl 0.0039 0.5019 0.7682 x18

Principal peaks in the range 10° ≤ 2θ ≤ 80°, most intense first:
two_theta  d_spacing  Rel. int.
24.59  3.621  100
20.67  4.298  99
32.33  2.769  61
33.56  2.670  39
41.04  2.200  36
50.41  1.810  31
52.97  1.729  26
49.31  1.848  25

=====

Entry 2:
This entry pairs a crystal structure of Cs3ZrCl6 with its calculated PXRD pattern. Radiation: Cu Kα (weighted mean of Kα1 and Kα2). Structure: a crystal structure in Alexandria, relaxed with PBE.

Cell and atoms:
a = 13.6901 Å, b = 8.0265 Å, c = 8.3593 Å
α = 90.00°, β = 122.39°, γ = 90.00°
Space group C2/m (No. 12)
Symmetry-distinct sites (fractional):
Cs 0.0000 0.0000 0.0000 x2
Cs 0.2381 0.0000 0.7218 x4
Zr 0.0000 0.5000 0.5000 x2
Cl 0.0593 0.2733 0.3485 x8
Cl 0.2045 0.5000 0.8003 x4

Principal peaks in the range 10° ≤ 2θ ≤ 80°, most intense first:
two_theta  d_spacing  Rel. int.
30.95  2.890  100
21.06  4.218  88
22.41  3.967  85
22.15  4.013  38
21.34  4.163  33
38.87  2.317  29
38.38  2.345  25
50.87  1.795  24